Starting from a GGA-PBE-relaxed structure, the X-ray powder pattern of Sc2TeSe2 was simulated for CuKα.
Intensities are scaled so that the largest is 100.

Main lines, most intense first (15 to 90 degrees two-theta):
- 30.90°, d 2.894, I 100
- 45.98°, d 1.974, I 64
- 33.20°, d 2.699, I 44
- 27.86°, d 3.202, I 37
- 26.82°, d 3.324, I 36
- 17.87°, d 4.965, I 34
- 40.06°, d 2.251, I 19
- 45.62°, d 1.989, I 17
- 57.57°, d 1.601, I 17
- 42.87°, d 2.109, I 17

Structure:
a = 7.1613 Å, b = 7.1613 Å, c = 7.1613 Å
α = 147.76°, β = 135.72°, γ = 55.82°
Fractional coordinates of all 5 atoms:
Sc (0.1688, 0.1688, 0.0000)
Sc (0.8312, 0.8312, 0.0000)
Te (0.0000, 0.5000, 0.5000)
Se (0.3137, 0.8137, 0.5000)
Se (0.6863, 0.1863, 0.5000)